No. 1
Rb2SiI7: theoretical powder diffraction line list (Cu Kα (weighted mean of Kα1 and Kα2)), based on DFT lattice parameters and positions (PBE).

Atomic structure:
Unit cell a=8.698 b=8.698 c=12.030 alpha=90.00 beta=90.00 gamma=90.00
Space group I4/mmm (No. 139)
Unique sites:
1 Rb 0.000 0.500 0.250 x4
2 Si 0.000 0.000 0.000 x2
3 I 0.000 0.000 0.228 x4
4 I 0.000 0.000 0.500 x2
5 I 0.222 0.222 0.000 x8

Most intense lines, 2θ from 5° to 70°, by angle:
d/Å, two_theta, I (rel.)
6.150, 14.4, 22
3.524, 25.3, 100
3.075, 29.0, 68
3.008, 29.7, 34
2.792, 32.1, 16
2.349, 38.3, 13
2.174, 41.5, 23
2.150, 42.0, 46
1.851, 49.2, 24
1.762, 51.9, 21



No. 2
Mg9Si5: theoretical powder diffraction line list (Cu Kα (weighted mean of Kα1 and Kα2)), based on DFT lattice parameters and positions (PBE).

Atomic structure:
Unit cell a=7.140 b=7.174 c=12.718 alpha=86.59 beta=89.05 gamma=60.55
Space group P1 (No. 1)
Unique sites:
1 Mg 0.000 0.000 0.000 x1
2 Mg 0.001 0.053 0.688 x1
3 Mg 0.143 0.293 0.867 x1
4 Mg 0.153 0.269 0.480 x1
5 Mg 0.157 0.250 0.161 x1
6 Mg 0.364 0.693 0.469 x1
7 Mg 0.397 0.737 0.169 x1
8 Mg 0.409 0.762 0.842 x1
9 Mg 0.430 0.400 0.008 x1
10 Mg 0.489 0.314 0.331 x1
11 Mg 0.498 0.436 0.680 x1
12 Mg 0.643 0.034 0.834 x1
13 Mg 0.674 0.978 0.167 x1
14 Mg 0.723 0.909 0.487 x1
15 Mg 0.763 0.550 0.331 x1
16 Mg 0.797 0.616 0.004 x1
17 Mg 0.879 0.562 0.694 x1
18 Mg 0.989 0.047 0.331 x1
19 Si 0.056 0.710 0.842 x1
20 Si 0.076 0.656 0.150 x1
21 Si 0.081 0.636 0.348 x1
22 Si 0.303 0.199 0.678 x1
23 Si 0.412 0.975 0.327 x1
24 Si 0.413 0.999 0.004 x1
25 Si 0.472 0.836 0.632 x1
26 Si 0.742 0.325 0.166 x1
27 Si 0.742 0.350 0.862 x1
28 Si 0.759 0.273 0.503 x1

Most intense lines, 2θ from 5° to 70°, by angle:
d/Å, two_theta, I (rel.)
2.817, 31.8, 57
2.804, 31.9, 52
2.706, 33.1, 45
2.688, 33.3, 48
2.657, 33.7, 43
2.443, 36.8, 86
2.360, 38.1, 53
2.340, 38.5, 68
2.116, 42.7, 100
2.071, 43.7, 66



No. 3
TbTmMg14: theoretical powder diffraction line list (Cu Kα (weighted mean of Kα1 and Kα2)), based on DFT lattice parameters and positions (PBE).

Atomic structure:
Unit cell a=6.918 b=6.918 c=7.980 alpha=90.00 beta=90.00 gamma=90.00
Space group P4/mmm (No. 123)
Unique sites:
1 Tb 0.000 0.000 0.000 x1
2 Tm 0.500 0.500 0.000 x1
3 Mg 0.000 0.000 0.500 x1
4 Mg 0.000 0.500 0.000 x2
5 Mg 0.000 0.500 0.500 x2
6 Mg 0.251 0.251 0.260 x8
7 Mg 0.500 0.500 0.500 x1

Most intense lines, 2θ from 5° to 70°, by angle:
d/Å, two_theta, I (rel.)
7.980, 11.1, 49
4.891, 18.1, 38
4.170, 21.3, 52
3.173, 28.1, 29
3.092, 28.9, 25
2.613, 34.3, 100
2.446, 36.7, 42
2.109, 42.9, 24
1.546, 59.8, 22
1.442, 64.6, 31



No. 4
KS3F: theoretical powder diffraction line list (Cu Kα (weighted mean of Kα1 and Kα2)), based on DFT lattice parameters and positions (PBE).

Atomic structure:
Unit cell a=4.581 b=4.581 c=4.581 alpha=90.00 beta=90.00 gamma=90.00
Space group Pm-3m (No. 221)
Unique sites:
1 K 0.000 0.000 0.000 x1
2 S 0.000 0.500 0.500 x3
3 F 0.500 0.500 0.500 x1

Most intense lines, 2θ from 5° to 70°, by angle:
d/Å, two_theta, I (rel.)
4.581, 19.4, 4
3.239, 27.5, 14
2.645, 33.9, 100
2.290, 39.3, 84
2.049, 44.2, 1
1.870, 48.7, 5
1.620, 56.8, 50
1.449, 64.3, 2
1.381, 67.9, 34



No. 5
LaTb2Dy4Ho: theoretical powder diffraction line list (Cu Kα (weighted mean of Kα1 and Kα2)), based on DFT lattice parameters and positions (PBE).

Atomic structure:
Unit cell a=7.140 b=10.066 c=7.163 alpha=90.00 beta=90.06 gamma=90.00
Space group P2/m (No. 10)
Unique sites:
1 La 0.000 0.000 0.000 x1
2 La 0.000 0.000 0.500 x1
3 Tb 0.000 0.500 0.000 x1
4 Tb 0.500 0.000 0.000 x1
5 Tb 0.500 0.500 0.000 x1
6 Tb 0.500 0.500 0.500 x1
7 Dy 0.252 0.253 0.251 x4
8 Dy 0.252 0.253 0.750 x4
9 Ho 0.000 0.500 0.500 x1
10 Ho 0.500 0.000 0.500 x1

Most intense lines, 2θ from 5° to 70°, by angle:
d/Å, two_theta, I (rel.)
2.915, 30.7, 100
2.528, 35.5, 34
2.516, 35.7, 17
1.791, 51.0, 6
1.784, 51.2, 30
1.525, 60.7, 14
1.523, 60.8, 14
1.519, 61.0, 14
1.459, 63.8, 6
1.456, 63.9, 6



No. 6
NdSm3Ag3: theoretical powder diffraction line list (Cu Kα (weighted mean of Kα1 and Kα2)), based on DFT lattice parameters and positions (PBE).

Atomic structure:
Unit cell a=10.573 b=10.535 c=7.251 alpha=90.00 beta=101.93 gamma=90.00
Space group C2/m (No. 12)
Unique sites:
1 Nd 0.242 0.000 0.499 x4
2 Sm 0.000 0.228 0.500 x4
3 Sm 0.000 0.318 0.000 x4
4 Sm 0.162 0.000 0.947 x4
5 Ag 0.047 0.500 0.704 x4
6 Ag 0.244 0.270 0.782 x8

Most intense lines, 2θ from 5° to 70°, by angle:
d/Å, two_theta, I (rel.)
3.277, 27.2, 19
3.092, 28.9, 21
2.937, 30.4, 32
2.770, 32.3, 100
2.634, 34.0, 35
2.586, 34.7, 25
2.388, 37.7, 48
2.349, 38.3, 18
2.339, 38.5, 14
1.387, 67.5, 13